Calculated X-ray diffraction stick pattern of BaSrTbCrO6 for Cu Kα (λ = 1.5418 Å), from DFT lattice parameters and positions (GGA+U).
Intensities are scaled so that the largest is 100.

Structure:
```
10
Lattice="0.000 4.139 4.139 4.139 0.000 4.139 4.139 4.139 0.000" Properties=species:S:1:pos:R:3 pbc="T T T"
Ba 0.000 0.000 0.000
Sr 4.139 4.139 4.139
Tb 2.070 2.070 2.070
Cr 6.209 6.209 6.209
O 6.209 6.209 4.304
O 6.209 4.304 6.209
O 8.113 6.209 6.209
O 4.304 6.209 6.209
O 6.209 8.113 6.209
O 6.209 6.209 8.113
```

The 10 most intense peaks (2θ = 5–70°), sorted by position:
2θ (°), d (Å), I (rel.)
18.56, 4.779, 13
30.54, 2.927, 100
35.98, 2.496, 11
37.64, 2.390, 3
43.74, 2.070, 31
47.90, 1.899, 6
54.29, 1.690, 39
57.88, 1.593, 3
63.58, 1.463, 19
66.86, 1.399, 3